Computed PXRD pattern of ZnW4O8 for a wavelength of 1.5418 Å, from DFT lattice parameters and positions (PBE+U).

Structure:
Cell lengths 3.3009, 7.7252, 7.7652 Å; angles 88.16, 77.74, 79.58 degrees
Fractional positions:
Zn1 0.0000 0.0000 0.0000
W1 0.2005 0.5091 0.1866
W2 0.4052 0.8187 0.5092
W3 0.7393 0.1874 0.4925
W4 0.8933 0.4964 0.8153
O1 0.0441 0.6989 0.3809
O2 0.1030 0.3047 0.6224
O3 0.3613 0.0556 0.3758
O4 0.3690 0.3796 0.9457
O5 0.4194 0.6253 0.6982
O6 0.7079 0.6257 0.0558
O7 0.7179 0.3783 0.3020
O8 0.7828 0.9503 0.6259

Largest 6 diffraction maxima, in order of rising 2θ, 10° ≤ 2θ ≤ 90°:
- 2θ = 11.7°, intensity 91, (0 0 1)
- 2θ = 26.2°, intensity 99, (0 2 -1)
- 2θ = 26.3°, intensity 100, (0 1 2)
- 2θ = 32.4°, intensity 72, (1 -1 1)
- 2θ = 33.1°, intensity 70, (1 1 2)
- 2θ = 33.4°, intensity 87, (1 2 0)